This entry pairs a crystal structure of DyAgHg2 with its simulated X-ray diffraction stick pattern. Radiation: Cu Kα. Structure: a cell relaxed with PBE.

Crystal structure
Lattice parameters (Å, degrees): 7.111 7.111 7.111 90.00 90.00 90.00
Space group Fm-3m (No. 225)
One atom of each set of equivalent atoms:
1 Dy 0.000 0.000 0.000
2 Ag 0.000 0.000 0.500
3 Hg 0.250 0.250 0.250

Peak list (10 most intense, 2θ = 15–90°, in order of rising 2θ)
hkl 1 1 1, 2θ 21.65, rel. 1
hkl 2 0 0, 2θ 25.04, rel. 4
hkl 2 2 0, 2θ 35.71, rel. 100
hkl 2 2 2, 2θ 44.11, rel. 1
hkl 4 0 0, 2θ 51.40, rel. 18
hkl 4 2 0, 2θ 58.00, rel. 2
hkl 4 2 2, 2θ 64.16, rel. 37
hkl 4 4 0, 2θ 75.65, rel. 11
hkl 6 0 0, 2θ 81.15, rel. 1
hkl 6 2 0, 2θ 86.57, rel. 17

---

This entry pairs a crystal structure of Ti2N2O with its simulated X-ray diffraction stick pattern. Radiation: Cu Kα. Structure: a cell relaxed with PBE.

Crystal structure
Lattice parameters (Å, degrees): 9.901 2.991 15.721 90.00 103.99 90.00
Space group C2/m (No. 12)
One atom of each set of equivalent atoms:
1 Ti 0.001 0.000 0.332
2 Ti 0.230 0.000 0.576
3 Ti 0.233 0.000 0.242
4 Ti 0.237 0.000 0.914
5 N 0.119 0.500 0.629
6 N 0.121 0.500 0.294
7 N 0.148 0.000 0.449
8 N 0.148 0.000 0.785
9 O 0.147 0.500 0.956
10 O 0.148 0.000 0.121

Peak list (10 most intense, 2θ = 15–90°, in order of rising 2θ)
hkl 2 0 0, 2θ 18.47, rel. 82
hkl 2 0 3, 2θ 28.48, rel. 21
hkl 1 1 -3, 2θ 34.91, rel. 18
hkl 2 0 -6, 2θ 35.74, rel. 15
hkl 1 1 3, 2θ 37.20, rel. 21
hkl 3 1 -3, 2θ 42.22, rel. 100
hkl 2 0 6, 2θ 44.15, rel. 42
hkl 1 1 -9, 2θ 61.59, rel. 27
hkl 0 2 0, 2θ 62.07, rel. 14
hkl 5 1 3, 2θ 63.87, rel. 19

---

This entry pairs a crystal structure of Ba3PN with its simulated X-ray diffraction stick pattern. Radiation: Cu Kα. Structure: a cell relaxed with PBE.

Crystal structure
Lattice parameters (Å, degrees): 6.060 6.060 6.060 90.00 90.00 90.00
Space group Pm-3m (No. 221)
One atom of each set of equivalent atoms:
1 Ba 0.000 0.000 0.500
2 P 0.000 0.000 0.000
3 N 0.500 0.500 0.500

Peak list (10 most intense, 2θ = 15–90°, in order of rising 2θ)
hkl 1 1 1, 2θ 25.46, rel. 100
hkl 2 0 0, 2θ 29.48, rel. 70
hkl 2 1 0, 2θ 33.05, rel. 24
hkl 2 2 0, 2θ 42.18, rel. 52
hkl 3 1 1, 2θ 49.91, rel. 47
hkl 2 2 2, 2θ 52.29, rel. 18
hkl 3 3 1, 2θ 67.35, rel. 19
hkl 4 2 0, 2θ 69.35, rel. 23
hkl 4 2 2, 2θ 77.10, rel. 17
hkl 5 1 1, 2θ 82.76, rel. 15